Calculated powder diffractogram of MgZn3S4 for CuKα, from a DFT-relaxed cell (GGA-PBE, the Materials Project).

Cell and atoms:
```
MgZn3S4
1.0
5.5097 0.0000 0.0000
0.0000 5.5097 0.0000
0.0000 0.0000 5.5097
Mg Zn S
1 3 4
Direct
0.0000 0.0000 0.0000 Mg
0.0000 0.5000 0.5000 Zn
0.5000 0.0000 0.5000 Zn
0.5000 0.5000 0.0000 Zn
0.2560 0.2560 0.7440 S
0.2560 0.7440 0.2560 S
0.7440 0.2560 0.2560 S
0.7440 0.7440 0.7440 S
```

The 10 most intense peaks (10 to 90 degrees two-theta), by angle:
d (Å)	intensity
5.510	9.3
3.896	6.6
3.181	100.0
2.755	7.7
2.249	3.3
1.948	63.5
1.661	40.7
1.377	9.5
1.264	15.5
1.125	19.7



Calculated powder diffractogram of Rb2BiI5O15 for CuKα, from a DFT-relaxed cell (GGA-PBE, the Materials Project).

Cell and atoms:
```
Rb2BiI5O15
1.0
8.4155 0.0000 0.0000
0.0000 11.9400 4.2471
0.0000 -11.9400 4.2471
Rb Bi I O
4 2 10 30
Direct
0.0000 0.0000 0.0000 Rb
0.0000 0.5000 0.5000 Rb
0.4745 0.7353 0.2353 Rb
0.5255 0.2353 0.7353 Rb
0.5000 0.0989 0.0989 Bi
0.5000 0.5989 0.5989 Bi
0.0607 0.2923 0.7923 I
0.2429 0.0953 0.3617 I
0.2429 0.8617 0.5953 I
0.2713 0.3456 0.1343 I
0.2713 0.6343 0.8456 I
0.7287 0.1343 0.3456 I
0.7287 0.8456 0.6343 I
0.7571 0.3617 0.0953 I
0.7571 0.5953 0.8617 I
0.9393 0.7923 0.2923 I
0.0683 0.3390 0.1771 O
0.0683 0.6771 0.8390 O
0.1018 0.0795 0.5795 O
0.1903 0.7020 0.3741 O
0.1903 0.8741 0.2020 O
0.1959 0.2924 0.9063 O
0.1959 0.4063 0.7924 O
0.2857 0.0996 0.2222 O
0.2857 0.7222 0.5996 O
0.3140 0.1190 0.9577 O
0.3140 0.4577 0.6190 O
0.3797 0.3635 0.2790 O
0.3797 0.7790 0.8635 O
0.4421 0.0872 0.4122 O
0.4421 0.9122 0.5872 O
0.5579 0.4122 0.0872 O
0.5579 0.5872 0.9122 O
0.6203 0.2790 0.3635 O
0.6203 0.8635 0.7790 O
0.6860 0.6190 0.4577 O
0.6860 0.9577 0.1190 O
0.7143 0.2222 0.0996 O
0.7143 0.5996 0.7222 O
0.8041 0.7924 0.4063 O
0.8041 0.9063 0.2924 O
0.8097 0.2020 0.8741 O
0.8097 0.3741 0.7020 O
0.8982 0.5795 0.0795 O
0.9317 0.1771 0.3390 O
0.9317 0.8390 0.6771 O
```

The 10 most intense peaks (10 to 90 degrees two-theta), by angle:
d (Å)	intensity
6.879	21.0
4.247	18.9
3.730	16.1
3.614	18.1
3.461	75.6
3.439	100.0
2.988	62.2
2.112	33.0
1.800	16.0
1.798	16.5